Structure and theoretical powder XRD pattern of Ce2PaIrN4 (a DFT-relaxed cell (PBE, Alexandria); Cu Kα).

The 6 most intense peaks (2θ = 15–90°), low angle first:
d (Å)  2θ (°)  I (rel.)  hkl
3.038  29.40  70.5  2 0 0
3.026  29.52  33.6  0 0 2
2.145  42.12  100.0  2 0 2
1.752  52.22  30.8  2 2 2
1.358  69.17  28.3  4 2 0
1.240  76.92  21.3  4 2 2

```
data_Ce2PaIrN4
_cell_length_a 6.0765
_cell_length_b 6.0765
_cell_length_c 6.0512
_cell_angle_alpha 90.00
_cell_angle_beta 90.00
_cell_angle_gamma 90.00
_space_group_name_H-M_alt 'I -4 2 m'
_space_group_IT_number 121
_space_group_name_Hall 'I -4 2'
loop_
_atom_site_label
_atom_site_fract_x
_atom_site_fract_y
_atom_site_fract_z
Ce1 0.0000 0.5000 0.0000
Pa1 0.0000 0.0000 0.0000
Ir1 0.0000 0.0000 0.5000
N1 0.1895 0.1895 0.2769
```